For Mg6ZnC, a crystal structure in the Materials Project, relaxed with GGA-PBE gives the computed X-ray powder pattern in this record (Cu Kα, 1.54184 Å).
Lines closer than 0.1° are merged.

Main lines, sorted by position (15° ≤ 2θ ≤ 90°):
2theta  intensity
28.52  33
32.64  30
36.60  27
37.52  100
38.73  42
51.05  14

Atomic structure:
Unit cell a=3.5779 b=6.5180 c=6.5180 alpha=82.23 beta=90.00 gamma=90.00
Fractional positions:
Mg1 0.0000 0.0000 0.0000
Mg2 0.0000 0.4337 0.4337
Mg3 0.0000 0.5598 0.8986
Mg4 0.0000 0.8986 0.5598
Mg5 0.5000 0.2102 0.7246
Mg6 0.5000 0.7246 0.2102
Zn1 0.5000 0.2222 0.2222
C1 0.5000 0.8492 0.8492